Starting from a crystal structure in the Materials Project, relaxed with PBE, the powder diffraction line list of Ba3Al4Pt4 was simulated for Cu Kα (λ = 1.5418 Å).
Peak positions follow from Bragg's law for the DFT cell and can differ from measured ones.

Structural model:
```
data_Ba3Al4Pt4
_chemical_formula_sum 'Ba12 Al16 Pt16'
_cell_length_a 10.894
_cell_length_b 8.230
_cell_length_c 11.967
_cell_angle_alpha 90.00
_cell_angle_beta 90.00
_cell_angle_gamma 90.00
_space_group_name_H-M_alt 'C m c m'
_space_group_IT_number 63
_space_group_name_Hall '-C 2c 2'
loop_
_atom_site_label
_atom_site_type_symbol
_atom_site_fract_x
_atom_site_fract_y
_atom_site_fract_z
Ba1 Ba 0.000 0.023 0.250
Ba2 Ba 0.219 0.000 0.000
Al1 Al 0.000 0.397 0.125
Al2 Al 0.135 0.351 0.750
Pt1 Pt 0.000 0.300 0.574
Pt2 Pt 0.186 0.347 0.250
```

Principal peaks in the range 2θ = 5–70°, by intensity:
| 2θ (°) | Rel. int. |
| --- | --- |
| 31.07 | 100 |
| 30.78 | 82 |
| 26.14 | 73 |
| 33.69 | 44 |
| 27.87 | 44 |
| 28.18 | 36 |
| 46.75 | 34 |
| 48.90 | 30 |
| 29.87 | 30 |
| 32.89 | 29 |